No. 1
Theoretical powder diffractogram of DyEr3Pu3Te8 for Cu Kα, 1.54184 Å, from a cell relaxed with PBE.
Intensities are scaled so that the largest is 100.

Principal peaks in the range 10 to 80 degrees two-theta, sorted by position:
- 2θ 28.90, rel. 100.0
- 2θ 41.31, rel. 63.8
- 2θ 51.14, rel. 13.8
- 2θ 51.31, rel. 13.6
- 2θ 59.89, rel. 12.8
- 2θ 67.78, rel. 17.7

Crystal structure
Unit cell a=8.7336 b=8.7336 c=8.7529 alpha=120.00 beta=120.00 gamma=59.85
Sites, in units of the cell vectors:
1 Dy 0.0000 0.0000 0.0000
2 Er 0.0000 0.5000 0.0000
3 Er 0.5000 0.0000 0.0000
4 Er 0.5000 0.5000 0.0000
5 Pu 0.0000 0.0000 0.5000
6 Pu 0.0000 0.5000 0.5000
7 Pu 0.5000 0.0000 0.5000
8 Te 0.2532 0.2532 0.2475
9 Te 0.2527 0.2527 0.7576
10 Te 0.2529 0.7401 0.2465
11 Te 0.2599 0.7471 0.7535
12 Te 0.7401 0.2529 0.2465
13 Te 0.7471 0.2599 0.7535
14 Te 0.7473 0.7473 0.2424
15 Te 0.7468 0.7468 0.7525

=====

No. 2
Theoretical powder diffractogram of DyEr4Tm2Pu for Cu Kα, 1.54184 Å, from a cell relaxed with PBE.
Intensities are scaled so that the largest is 100.

Principal peaks in the range 10 to 80 degrees two-theta, sorted by position:
- 2θ 31.44, rel. 100.0
- 2θ 36.47, rel. 50.6
- 2θ 52.48, rel. 18.0
- 2θ 52.57, rel. 17.9
- 2θ 62.41, rel. 10.7
- 2θ 62.53, rel. 24.8

Crystal structure
Unit cell a=6.9652 b=6.9652 c=12.0992 alpha=106.87 beta=106.87 gamma=59.94
Sites, in units of the cell vectors:
1 Dy 0.0000 0.5000 0.0000
2 Dy 0.5000 0.0000 0.0000
3 Er 0.2462 0.7542 0.2506
4 Er 0.2458 0.7538 0.7494
5 Er 0.2471 0.2471 0.2463
6 Er 0.2466 0.2466 0.7447
7 Er 0.7534 0.7534 0.2553
8 Er 0.7529 0.7529 0.7537
9 Er 0.7542 0.2462 0.2506
10 Er 0.7538 0.2458 0.7494
11 Tm 0.0000 0.5000 0.5000
12 Tm 0.5000 0.0000 0.5000
13 Tm 0.5000 0.5000 0.0000
14 Tm 0.5000 0.5000 0.5000
15 Pu 0.0000 0.0000 0.0000
16 Pu 0.0000 0.0000 0.5000